The following is a simulated powder XRD pattern of Nb4CoPbN2. It was derived from a structure optimized by DFT (PBE), using Cu Kα.
Kinematic intensities with the Lorentz-polarization factor, no thermal factor.

Principal peaks in the range 10 to 80 degrees two-theta, by intensity:
Position (°2θ)	Rel. int.
38.27	100
32.41	28
57.81	23
35.12	20
71.47	16
72.76	14
40.22	13
64.92	13

Structure:
abc: 3.190 3.190 13.453
angles: 90.00 90.00 120.00
Sites, in units of the cell vectors:
Nb 0.000 0.000 0.141
Nb 0.000 0.000 0.859
Nb 0.667 0.333 0.317
Nb 0.667 0.333 0.683
Co 0.667 0.333 0.000
Pb 0.000 0.000 0.500
N 0.333 0.667 0.229
N 0.333 0.667 0.771



The following is a simulated powder XRD pattern of Y2TaWC6. It was derived from a structure optimized by DFT (PBE), using Cu Kα.
Kinematic intensities with the Lorentz-polarization factor, no thermal factor.

Principal peaks in the range 10 to 80 degrees two-theta, by intensity:
Position (°2θ)	Rel. int.
28.43	100
34.06	63
44.94	38
57.57	28
22.03	27
46.45	27
58.84	17
69.76	16

Structure:
abc: 6.522 6.522 6.522
angles: 47.61 47.61 47.61
Sites, in units of the cell vectors:
Y 0.249 0.249 0.249
Y 0.751 0.751 0.751
Ta 0.500 0.500 0.500
W 0.000 0.000 0.000
C 0.235 0.756 0.756
C 0.244 0.244 0.765
C 0.244 0.765 0.244
C 0.756 0.235 0.756
C 0.756 0.756 0.235
C 0.765 0.244 0.244